# 1
Diffraction record for NpZnAgO6. The X-ray powder pattern is theoretical, not measured: it uses a cell relaxed with GGA-PBE and Cu Kα (λ = 1.5418 Å).
Intensities are scaled so that the largest is 100.

Most intense lines, 10° ≤ 2θ ≤ 90°, sorted by position:
- (0 0 2), 2θ 19.08, I 68
- (1 0 1), 2θ 21.36, I 34
- (1 0 2), 2θ 27.11, I 100
- (1 1 0), 2θ 33.36, I 66
- (1 1 2), 2θ 38.72, I 67
- (2 0 2), 2θ 43.50, I 33
- (1 1 4), 2θ 52.02, I 61
- (2 1 2), 2θ 55.90, I 29
- (3 0 4), 2θ 73.39, I 27
- (0 0 8), 2θ 83.05, I 26

Cell and atoms:
Lattice parameters (Å, degrees): 5.3720 5.3720 9.3000 90.00 90.00 120.00
Space group P-31c (No. 163)
One atom of each set of equivalent atoms:
Np  0.3333  0.6667  0.2500
Zn  0.0000  0.0000  0.0000
Ag  0.3333  0.6667  0.7500
O  0.0303  0.3482  0.1266



# 2
Diffraction record for ZrNpAgO6. The X-ray powder pattern is theoretical, not measured: it uses a cell relaxed with GGA-PBE and Cu Kα (λ = 1.5418 Å).
Intensities are scaled so that the largest is 100.

Most intense lines, 10° ≤ 2θ ≤ 90°, sorted by position:
- (0 0 2), 2θ 18.06, I 33
- (1 0 1), 2θ 20.26, I 32
- (1 0 2), 2θ 25.68, I 100
- (1 1 0), 2θ 31.64, I 57
- (0 0 4), 2θ 36.64, I 34
- (2 0 2), 2θ 41.18, I 27
- (1 1 4), 2θ 49.12, I 51
- (2 1 2), 2θ 52.84, I 28
- (3 0 0), 2θ 56.34, I 19
- (4 -2 4), 2θ 77.92, I 20

Cell and atoms:
Lattice parameters (Å, degrees): 5.6565 5.6565 9.8277 90.00 90.00 120.00
Space group P-31c (No. 163)
One atom of each set of equivalent atoms:
Zr  0.3333  0.6667  0.2500
Np  0.3333  0.6667  0.7500
Ag  0.0000  0.0000  0.0000
O  0.0121  0.3780  0.6414



# 3
Diffraction record for Rb2Np2AgS6. The X-ray powder pattern is theoretical, not measured: it uses a cell relaxed with GGA-PBE and Cu Kα (λ = 1.5418 Å).
Intensities are scaled so that the largest is 100.

Most intense lines, 10° ≤ 2θ ≤ 90°, sorted by position:
- (0 0 1), 2θ 11.27, I 100
- (1 1 -1), 2θ 16.99, I 20
- (0 0 2), 2θ 22.64, I 32
- (1 3 0), 2θ 25.86, I 18
- (1 3 -1), 2θ 26.85, I 44
- (2 0 0), 2θ 27.39, I 17
- (1 3 1), 2θ 29.67, I 77
- (2 0 -2), 2θ 30.96, I 35
- (1 3 -3), 2θ 40.41, I 28
- (3 3 -1), 2θ 46.25, I 51

Cell and atoms:
Lattice parameters (Å, degrees): 6.729 12.178 8.114 90.00 104.53 90.00
Space group C2/m (No. 12)
One atom of each set of equivalent atoms:
Rb  0.000  0.154  0.000
Np  0.000  0.336  0.500
Ag  0.000  0.000  0.500
S  0.212  0.500  0.681
S  0.236  0.184  0.689



# 4
Diffraction record for Rb2Np3AgS8. The X-ray powder pattern is theoretical, not measured: it uses a cell relaxed with GGA-PBE and Cu Kα (λ = 1.5418 Å).
Intensities are scaled so that the largest is 100.

Most intense lines, 10° ≤ 2θ ≤ 90°, sorted by position:
- (0 0 3), 2θ 10.84, I 100
- (0 0 6), 2θ 21.78, I 20
- (0 2 1), 2θ 26.04, I 39
- (2 0 2), 2θ 26.81, I 25
- (0 2 4), 2θ 29.69, I 54
- (0 2 7), 2θ 36.56, I 28
- (2 0 8), 2θ 39.33, I 22
- (2 2 0), 2θ 45.45, I 32
- (2 2 3), 2θ 46.88, I 16
- (2 2 6), 2θ 50.95, I 14

Cell and atoms:
Lattice parameters (Å, degrees): 7.9809 7.9809 24.4783 90.00 90.00 120.00
Space group R3m (No. 160, hexagonal axes)
One atom of each set of equivalent atoms:
Rb  0.0000  0.0000  0.0000
Rb  0.0000  0.0000  0.3559
Np  0.1672  0.3344  0.1902
Ag  0.0000  0.0000  0.8297
S  0.0000  0.0000  0.1328
S  0.0000  0.0000  0.5810
S  0.0241  0.5120  0.1304
S  0.1799  0.3598  0.9150



# 5
Diffraction record for RbNpAg2Se4. The X-ray powder pattern is theoretical, not measured: it uses a cell relaxed with GGA-PBE and Cu Kα (λ = 1.5418 Å).
Intensities are scaled so that the largest is 100.

Most intense lines, 10° ≤ 2θ ≤ 90°, sorted by position:
- (0 1 1), 2θ 15.18, I 65
- (1 1 2), 2θ 26.66, I 100
- (2 1 1), 2θ 30.16, I 21
- (0 2 2), 2θ 30.64, I 22
- (2 0 2), 2θ 33.10, I 18
- (2 2 0), 2θ 34.74, I 67
- (1 2 3), 2θ 40.71, I 27
- (1 3 2), 2θ 42.44, I 31
- (1 1 4), 2θ 44.88, I 40
- (3 1 2), 2θ 46.16, I 24

Cell and atoms:
Lattice parameters (Å, degrees): 6.879 7.817 8.773 90.00 90.00 90.00
Space group I222 (No. 23)
One atom of each set of equivalent atoms:
Rb  0.000  0.000  0.000
Np  0.000  0.000  0.500
Ag  0.000  0.500  0.169
Se  0.210  0.210  0.319



# 6
Diffraction record for RbNpAgTe2. The X-ray powder pattern is theoretical, not measured: it uses a cell relaxed with GGA-PBE and Cu Kα (λ = 1.5418 Å).
Intensities are scaled so that the largest is 100.

Most intense lines, 10° ≤ 2θ ≤ 90°, sorted by position:
- (0 2 0), 2θ 10.35, I 100
- (1 3 1), 2θ 25.19, I 59
- (0 2 2), 2θ 28.18, I 56
- (2 0 1), 2θ 32.59, I 26
- (1 5 1), 2θ 32.88, I 27
- (0 4 2), 2θ 33.63, I 50
- (2 2 1), 2θ 34.28, I 42
- (2 4 1), 2θ 38.97, I 33
- (2 0 2), 2θ 40.01, I 25
- (0 8 0), 2θ 42.30, I 24

Cell and atoms:
Lattice parameters (Å, degrees): 6.005 17.095 6.819 90.00 90.00 90.00
Space group Cmme (No. 67)
One atom of each set of equivalent atoms:
Rb  0.000  0.250  0.235
Np  0.250  0.000  0.500
Ag  0.000  0.000  0.000
Te  0.000  0.124  0.749



# 7
Diffraction record for Np3Ag3S8. The X-ray powder pattern is theoretical, not measured: it uses a cell relaxed with GGA-PBE and Cu Kα (λ = 1.5418 Å).
Intensities are scaled so that the largest is 100.

Most intense lines, 10° ≤ 2θ ≤ 90°, sorted by position:
- (1 0 1), 2θ 13.58, I 30
- (0 0 3), 2θ 14.61, I 56
- (0 2 1), 2θ 25.98, I 100
- (1 1 3), 2θ 26.55, I 80
- (2 0 2), 2θ 27.36, I 51
- (0 1 5), 2θ 27.65, I 44
- (0 2 4), 2θ 32.32, I 77
- (1 2 5), 2θ 42.30, I 33
- (2 2 0), 2θ 44.96, I 70
- (2 0 8), 2θ 47.73, I 56

Cell and atoms:
Lattice parameters (Å, degrees): 8.0641 8.0641 18.1890 90.00 90.00 120.00
Space group R-3m (No. 166, hexagonal axes)
One atom of each set of equivalent atoms:
Np  0.0000  0.5000  0.0000
Ag  0.0000  0.0000  0.1161
Ag  0.0000  0.0000  0.5000
S  0.0000  0.0000  0.2577
S  0.0174  0.5087  0.2582



# 8
Diffraction record for Np4AgS8. The X-ray powder pattern is theoretical, not measured: it uses a cell relaxed with GGA-PBE and Cu Kα (λ = 1.5418 Å).
Intensities are scaled so that the largest is 100.

Most intense lines, 10° ≤ 2θ ≤ 90°, sorted by position:
- (2 0 -1), 2θ 14.22, I 100
- (0 0 2), 2θ 25.73, I 86
- (4 0 -2), 2θ 28.67, I 15
- (2 2 0), 2θ 29.39, I 59
- (2 2 -2), 2θ 29.62, I 15
- (2 0 -3), 2θ 29.75, I 25
- (4 2 -1), 2θ 38.72, I 36
- (4 2 -3), 2θ 39.07, I 27
- (4 0 -4), 2θ 39.26, I 17
- (0 2 3), 2θ 45.37, I 39

Cell and atoms:
Lattice parameters (Å, degrees): 12.455 8.000 9.232 90.00 131.43 90.00
Space group C2/m (No. 12)
One atom of each set of equivalent atoms:
Np  0.000  0.248  0.000
Np  0.235  0.500  0.502
Ag  0.000  0.000  0.500
S  0.057  0.234  0.339
S  0.192  0.000  0.154
S  0.193  0.500  0.177



# 9
Diffraction record for Np2AgS4. The X-ray powder pattern is theoretical, not measured: it uses a cell relaxed with GGA-PBE and Cu Kα (λ = 1.5418 Å).
Intensities are scaled so that the largest is 100.

Most intense lines, 10° ≤ 2θ ≤ 90°, sorted by position:
- (1 0 1), 2θ 13.55, I 62
- (1 0 3), 2θ 26.04, I 51
- (2 1 1), 2θ 26.16, I 100
- (2 0 2), 2θ 27.30, I 50
- (2 2 0), 2θ 31.70, I 38
- (3 2 1), 2θ 41.53, I 48
- (2 2 4), 2θ 45.29, I 60
- (4 0 0), 2θ 45.44, I 30
- (5 0 3), 2θ 63.21, I 20
- (6 2 4), 2θ 83.86, I 20

Cell and atoms:
Lattice parameters (Å, degrees): 7.985 7.985 11.363 90.00 90.00 90.00
Space group I4_1/amd (No. 141, origin choice 2)
One atom of each set of equivalent atoms:
Np  0.000  0.000  0.000
Ag  0.000  0.250  0.375
S  0.000  0.018  0.758



# 10
Diffraction record for Np3Ag4S8. The X-ray powder pattern is theoretical, not measured: it uses a cell relaxed with GGA-PBE and Cu Kα (λ = 1.5418 Å).
Intensities are scaled so that the largest is 100.

Most intense lines, 10° ≤ 2θ ≤ 90°, sorted by position:
- (0 0 3), 2θ 13.48, I 43
- (0 2 1), 2θ 26.30, I 100
- (0 0 6), 2θ 27.15, I 18
- (2 0 2), 2θ 27.49, I 32
- (0 2 4), 2θ 31.75, I 56
- (2 0 5), 2θ 34.63, I 14
- (0 2 7), 2θ 41.46, I 29
- (2 0 8), 2θ 45.29, I 40
- (2 2 0), 2θ 45.73, I 42
- (2 2 6), 2θ 54.00, I 17

Cell and atoms:
Lattice parameters (Å, degrees): 7.9354 7.9354 19.7081 90.00 90.00 120.00
Space group R-3m (No. 166, hexagonal axes)
One atom of each set of equivalent atoms:
Np  0.0000  0.5000  0.0000
Ag  0.0000  0.0000  0.0000
Ag  0.0000  0.0000  0.1386
Ag  0.0000  0.0000  0.5000
S  0.0000  0.0000  0.2621
S  0.0168  0.5084  0.2568



# 11
Diffraction record for NpAgS2. The X-ray powder pattern is theoretical, not measured: it uses a cell relaxed with GGA-PBE and Cu Kα (λ = 1.5418 Å).
Intensities are scaled so that the largest is 100.

Most intense lines, 10° ≤ 2θ ≤ 90°, sorted by position:
- (1 1 0), 2θ 19.16, I 22
- (1 0 1), 2θ 25.82, I 100
- (2 0 0), 2θ 28.54, I 25
- (1 2 1), 2θ 36.86, I 77
- (2 2 0), 2θ 38.89, I 36
- (0 0 2), 2θ 43.73, I 15
- (3 0 1), 2θ 48.91, I 21
- (3 2 1), 2θ 56.14, I 15
- (2 2 2), 2θ 59.94, I 22
- (1 4 1), 2θ 60.02, I 15

Cell and atoms:
Lattice parameters (Å, degrees): 6.255 6.891 4.140 90.00 90.00 90.00
Space group Pnnm (No. 58)
One atom of each set of equivalent atoms:
Np  0.000  0.000  0.000
Ag  0.000  0.500  0.000
S  0.183  0.212  0.500



# 12
Diffraction record for SrNpAg2S4. The X-ray powder pattern is theoretical, not measured: it uses a cell relaxed with GGA-PBE and Cu Kα (λ = 1.5418 Å).
Intensities are scaled so that the largest is 100.

Most intense lines, 10° ≤ 2θ ≤ 90°, sorted by position:
- (1 0 1), 2θ 17.70, I 29
- (0 0 4), 2θ 26.39, I 57
- (1 1 2), 2θ 26.83, I 100
- (2 0 0), 2θ 33.20, I 74
- (2 0 4), 2θ 42.90, I 60
- (1 1 6), 2θ 46.85, I 33
- (2 2 0), 2θ 47.65, I 26
- (2 2 4), 2θ 55.29, I 28
- (3 1 2), 2θ 55.53, I 28
- (3 1 6), 2θ 69.05, I 21

Cell and atoms:
Lattice parameters (Å, degrees): 5.398 5.398 13.509 90.00 90.00 90.00
Space group I-4m2 (No. 119)
One atom of each set of equivalent atoms:
Sr  0.000  0.000  0.000
Np  0.000  0.500  0.250
Ag  0.000  0.000  0.500
Ag  0.000  0.500  0.750
S  0.000  0.000  0.232
S  0.000  0.500  0.053



Question: Number 6 is which compound?
Answer: RbNpAgTe2



Question: What is the formula in the seventh record?
Answer: Np3Ag3S8